Structure and theoretical powder XRD pattern of RbTh2Ag2Te6 (the PBE geometry in Alexandria; λ = 1.5418 Å (Cu Kα)).
Lines closer than 0.1° are merged.

Cell and atoms:
```
RbTh2Ag2Te6
1.0
7.956 0.000 0.000
3.232 7.403 0.000
3.092 2.369 7.095
Rb Th Ag Te
1 2 2 6
Cartesian
0.000 0.000 0.000 Rb
2.113 3.185 2.426 Th
12.166 6.587 4.669 Th
5.398 4.837 1.645 Ag
8.880 4.935 5.450 Ag
4.734 3.571 4.041 Te
6.648 6.122 6.748 Te
6.063 7.523 2.332 Te
8.216 2.249 4.763 Te
7.631 3.650 0.347 Te
9.545 6.201 3.054 Te
```

Peak list (8 most intense, 10° ≤ 2θ ≤ 90°, low angle first)
2theta	intensity	index
12.54	74	1 0 0
12.61	69	0 1 0
23.83	87	1 1 -1
24.47	67	0 2 1
26.85	100	2 1 2
32.16	58	-1 2 1
32.39	60	2 1 -1
36.85	87	1 3 0